(1)
Simulated X-ray powder pattern
Compound: Li2Pd3Pt2
Radiation: Cu Kα (weighted mean of Kα1 and Kα2)
Structure: a cell relaxed with GGA-PBE
Neutral-atom scattering factors, no anomalous dispersion.

Top 12 peaks for 2θ from 10° to 90°, in order of rising 2θ:
2θ/deg	I (rel.)
21.8	76.6
28.7	17.0
37.7	30.6
37.9	16.6
39.8	58.2
40.4	54.6
41.9	100.0
42.8	90.7
58.0	37.7
73.7	22.5
73.9	18.4
74.3	17.4

Atomic structure:
a b c (Å): 4.7993 4.5345 9.4623
angles (deg): 90.00 98.37 90.00
Fractional coordinates of all 14 atoms:
Li  0.0839  0.0095  0.1365
Li  0.0839  0.4905  0.6365
Li  0.9161  0.5095  0.3635
Li  0.9161  0.9905  0.8635
Pd  0.3275  0.5138  0.2164
Pd  0.3275  0.9862  0.7164
Pd  0.5000  0.0000  0.0000
Pd  0.5000  0.5000  0.5000
Pd  0.6725  0.0138  0.2836
Pd  0.6725  0.4862  0.7836
Pt  0.2160  0.0018  0.4240
Pt  0.2160  0.4982  0.9240
Pt  0.7840  0.5018  0.0760
Pt  0.7840  0.9982  0.5760

***

(2)
Simulated X-ray powder pattern
Compound: BaTl4
Radiation: Cu Kα (weighted mean of Kα1 and Kα2)
Structure: a cell relaxed with GGA-PBE
Neutral-atom scattering factors, no anomalous dispersion.

Top 12 peaks for 2θ from 10° to 90°, in order of rising 2θ:
2θ/deg	I (rel.)
15.6	4.8
30.3	100.0
34.6	18.9
35.3	30.4
37.8	7.3
50.3	22.6
50.8	11.1
59.4	15.2
60.3	22.9
62.9	11.8
81.9	9.8
83.8	5.4

Atomic structure:
a b c (Å): 6.2461 6.2461 6.2461
angles (deg): 99.90 99.90 131.00
Fractional coordinates of all 5 atoms:
Ba  0.0000  0.0000  0.0000
Tl  0.1913  0.5701  0.7614
Tl  0.4299  0.1913  0.6212
Tl  0.5701  0.8087  0.3788
Tl  0.8087  0.4299  0.2386